Diffraction record for TbDy2Mg3Tl2In. The X-ray powder pattern is calculated, not measured: it uses the PBE geometry in OQMD and Cu Kα X-rays.
Kinematic intensities with the Lorentz-polarization factor, no thermal factor.

Top 10 peaks for 5° ≤ 2θ ≤ 70°, most intense first:
33.5 deg, rel. 100; 30.5 deg, rel. 70; 23.6 deg, rel. 31; 13.6 deg, rel. 28; 38.5 deg, rel. 26; 41.4 deg, rel. 19; 41.6 deg, rel. 19; 48.4 deg, rel. 17; 36.5 deg, rel. 17; 65.5 deg, rel. 16

Crystal structure
```
TbDy2Mg3Tl2In
1.0
4.676 0.000 0.000
0.000 6.522 3.761
0.000 -6.522 3.761
Tb Dy Mg Tl In
1 2 3 2 1
direct
0.000 0.000 0.000
0.000 0.434 0.868
0.000 0.868 0.434
0.500 0.193 0.434
0.500 0.434 0.193
0.500 0.675 0.675
0.500 0.101 0.767
0.500 0.767 0.101
0.000 0.434 0.434
```

---

Diffraction record for LiYHgS3. The X-ray powder pattern is calculated, not measured: it uses the PBE geometry in OQMD and Cu Kα X-rays.
Kinematic intensities with the Lorentz-polarization factor, no thermal factor.

Top 10 peaks for 5° ≤ 2θ ≤ 70°, most intense first:
15.1 deg, rel. 100; 28.9 deg, rel. 69; 24.1 deg, rel. 53; 34.3 deg, rel. 46; 45.4 deg, rel. 36; 28.4 deg, rel. 35; 30.1 deg, rel. 33; 30.5 deg, rel. 29; 12.5 deg, rel. 28; 38.7 deg, rel. 20

Crystal structure
```
LiYHgS3
1.0
2.051 -7.072 0.000
2.051 7.072 0.000
0.000 0.000 10.457
Li Y Hg S
2 2 2 6
direct
0.136 0.864 0.750
0.864 0.136 0.250
0.500 0.500 0.000
0.500 0.500 0.500
0.128 0.872 0.250
0.872 0.128 0.750
0.132 0.868 0.024
0.132 0.868 0.476
0.448 0.552 0.250
0.552 0.448 0.750
0.868 0.132 0.524
0.868 0.132 0.976
```

---

Diffraction record for SmGaNiIr3. The X-ray powder pattern is calculated, not measured: it uses the PBE geometry in OQMD and Cu Kα X-rays.
Kinematic intensities with the Lorentz-polarization factor, no thermal factor.

Top 10 peaks for 5° ≤ 2θ ≤ 70°, most intense first:
38.5 deg, rel. 100; 40.3 deg, rel. 96; 44.9 deg, rel. 74; 29.3 deg, rel. 71; 60.9 deg, rel. 54; 45.3 deg, rel. 37; 69.6 deg, rel. 31; 22.2 deg, rel. 24; 64.1 deg, rel. 24; 56.9 deg, rel. 23

Crystal structure
```
SmGaNiIr3
1.0
5.403 0.000 0.000
-2.702 4.679 0.000
0.000 0.000 4.006
Sm Ga Ni Ir
1 1 1 3
direct
0.000 0.000 0.000
0.667 0.333 0.000
0.333 0.667 0.000
0.006 0.503 0.500
0.497 0.503 0.500
0.497 0.994 0.500
```